[1]
Structure and calculated X-ray diffraction stick pattern of ZrTe2As2Os (a cell relaxed with PBE; Cu Kα, 1.54184 Å).

Structure:
```
data_ZrTe2As2Os
_symmetry_space_group_name_H-M 'I m m 2'
_symmetry_Int_Tables_number 44
_cell_length_a 3.738
_cell_length_b 5.544
_cell_length_c 12.813
_cell_angle_alpha 90.00
_cell_angle_beta 90.00
_cell_angle_gamma 90.00
loop_
_symmetry_equiv_pos_as_xyz
'x,y,z'
'-x,-y,z'
'-x,y,z'
'x,-y,z'
'x+1/2,y+1/2,z+1/2'
'-x+1/2,-y+1/2,z+1/2'
'-x+1/2,y+1/2,z+1/2'
'x+1/2,-y+1/2,z+1/2'
loop_
_atom_site_label
_atom_site_fract_x
_atom_site_fract_y
_atom_site_fract_z
_atom_site_occupancy
Zr1 0.000 0.000 0.000 1
Te1 0.000 0.500 0.110 1
Te2 0.000 0.500 0.679 1
As1 0.000 0.262 0.368 1
Os1 0.000 0.000 0.772 1
```

Largest 10 diffraction maxima, low angle first, 5° ≤ 2θ ≤ 70°:
- 2θ = 13.82°, intensity 40, (0 0 2)
- 2θ = 17.43°, intensity 69, (0 1 1)
- 2θ = 31.81°, intensity 100, (1 0 3)
- 2θ = 32.08°, intensity 65, (1 1 2)
- 2θ = 32.29°, intensity 33, (0 2 0)
- 2θ = 35.28°, intensity 44, (0 2 2)
- 2θ = 38.71°, intensity 60, (0 1 5)
- 2θ = 40.50°, intensity 98, (1 1 4)
- 2θ = 41.15°, intensity 87, (1 2 1)
- 2θ = 48.72°, intensity 35, (2 0 0)

***

[2]
Structure and calculated X-ray diffraction stick pattern of SrAsPPd2 (a cell relaxed with PBE; Cu Kα, 1.54184 Å).

Structure:
```
data_SrAsPPd2
_symmetry_space_group_name_H-M 'I 4 m m'
_symmetry_Int_Tables_number 107
_symmetry_space_group_name_Hall 'I 4 -2'
_cell_length_a 4.350
_cell_length_b 4.350
_cell_length_c 10.116
_cell_angle_alpha 90.00
_cell_angle_beta 90.00
_cell_angle_gamma 90.00
loop_
_atom_site_label
_atom_site_fract_x
_atom_site_fract_y
_atom_site_fract_z
_atom_site_occupancy
Sr1 0.000 0.000 0.000 1
As1 0.000 0.000 0.385 1
P1 0.000 0.000 0.625 1
Pd1 0.000 0.500 0.242 1
```

Largest 10 diffraction maxima, low angle first, 5° ≤ 2θ ≤ 70°:
- 2θ = 17.53°, intensity 19, (0 0 2)
- 2θ = 33.63°, intensity 26, (1 0 3)
- 2θ = 34.11°, intensity 100, (1 1 2)
- 2θ = 41.52°, intensity 48, (2 0 0)
- 2θ = 46.49°, intensity 21, (1 1 4)
- 2θ = 49.70°, intensity 11, (1 0 5)
- 2θ = 54.45°, intensity 15, (0 0 6)
- 2θ = 55.74°, intensity 10, (2 0 4)
- 2θ = 60.17°, intensity 16, (2 2 0)
- 2θ = 62.86°, intensity 12, (1 1 6)